Record 1
Starting from a PBE-relaxed structure, the XRD peak list of CaNd2PdO6 was computed for Cu Kα (weighted mean of Kα1 and Kα2).
Peak positions follow from Bragg's law for the DFT cell and can differ from measured ones.

Main lines, in order of rising 2θ (5 to 70 degrees two-theta):
| 2theta | I/Imax | hkl |
| --- | --- | --- |
| 29.97 | 38 | 0 2 0 |
| 30.88 | 100 | 1 1 1 |
| 31.06 | 99 | 1 1 -3 |
| 31.78 | 45 | 2 0 -2 |
| 31.96 | 18 | 0 2 1 |
| 44.25 | 35 | 2 2 -2 |
| 44.49 | 26 | 0 0 4 |
| 49.93 | 31 | 1 3 -2 |
| 55.94 | 31 | 3 1 -1 |
| 56.29 | 22 | 3 1 -5 |

a = 5.6309 Å, b = 5.9634 Å, c = 9.8656 Å
α = 90.00°, β = 124.34°, γ = 90.00°
Atoms (fractional coordinates):
Ca 0.0000 0.0000 0.0000
Ca 0.0000 0.5000 0.5000
Nd 0.2693 0.0645 0.7477
Nd 0.2693 0.4355 0.2477
Nd 0.7307 0.5645 0.7523
Nd 0.7307 0.9355 0.2523
Pd 0.5000 0.0000 0.5000
Pd 0.5000 0.5000 0.0000
O 0.1443 0.0534 0.2676
O 0.1443 0.4466 0.7676
O 0.2647 0.6846 0.0574
O 0.2647 0.8154 0.5574
O 0.3923 0.2136 0.0695
O 0.3923 0.2864 0.5695
O 0.6077 0.7136 0.4305
O 0.6077 0.7864 0.9305
O 0.7353 0.1846 0.4426
O 0.7353 0.3154 0.9426
O 0.8557 0.5534 0.2324
O 0.8557 0.9466 0.7324



Record 2
Starting from a PBE-relaxed structure, the XRD peak list of TbSmO4 was computed for Cu Kα (weighted mean of Kα1 and Kα2).
Peak positions follow from Bragg's law for the DFT cell and can differ from measured ones.

Main lines, in order of rising 2θ (5 to 70 degrees two-theta):
| 2theta | I/Imax | hkl |
| --- | --- | --- |
| 27.03 | 33 | 2 0 0 |
| 28.26 | 45 | 0 0 2 |
| 29.18 | 100 | 1 1 -1 |
| 30.92 | 37 | 1 1 1 |
| 32.25 | 22 | 2 0 1 |
| 36.67 | 16 | 2 0 -2 |
| 46.35 | 20 | 0 2 0 |
| 47.41 | 23 | 3 1 0 |
| 49.46 | 28 | 1 1 -3 |
| 52.86 | 23 | 1 1 3 |

a = 6.6567 Å, b = 3.9181 Å, c = 6.3729 Å
α = 90.00°, β = 97.68°, γ = 90.00°
Atoms (fractional coordinates):
Tb 0.0000 0.0000 0.0000
Tb 0.5000 0.5000 0.0000
Sm 0.1102 0.5000 0.5403
Sm 0.6102 0.0000 0.5403
O 0.1560 0.5000 0.9184
O 0.2228 0.0000 0.3339
O 0.3908 0.0000 0.1972
O 0.4569 0.5000 0.6329
O 0.6560 0.0000 0.9184
O 0.7228 0.5000 0.3339
O 0.8908 0.5000 0.1972
O 0.9569 0.0000 0.6329



Record 3
Starting from a PBE-relaxed structure, the XRD peak list of SrLiEuPb was computed for Cu Kα (weighted mean of Kα1 and Kα2).
Peak positions follow from Bragg's law for the DFT cell and can differ from measured ones.

Main lines, in order of rising 2θ (5 to 70 degrees two-theta):
| 2theta | I/Imax | hkl |
| --- | --- | --- |
| 19.07 | 47 | 1 1 1 |
| 22.05 | 1 | 2 0 0 |
| 31.38 | 100 | 2 2 0 |
| 36.98 | 28 | 3 1 1 |
| 44.97 | 19 | 4 0 0 |
| 49.26 | 13 | 3 3 1 |
| 55.86 | 39 | 4 2 2 |
| 59.58 | 10 | 5 1 1 |
| 65.49 | 12 | 4 4 0 |
| 68.90 | 10 | 5 3 1 |

a = 8.0628 Å, b = 8.0628 Å, c = 8.0628 Å
α = 90.00°, β = 90.00°, γ = 90.00°
Atoms (fractional coordinates):
Sr 0.0000 0.0000 0.0000
Sr 0.0000 0.5000 0.5000
Sr 0.5000 0.0000 0.5000
Sr 0.5000 0.5000 0.0000
Li 0.2500 0.2500 0.7500
Li 0.2500 0.7500 0.2500
Li 0.7500 0.2500 0.2500
Li 0.7500 0.7500 0.7500
Eu 0.0000 0.0000 0.5000
Eu 0.0000 0.5000 0.0000
Eu 0.5000 0.0000 0.0000
Eu 0.5000 0.5000 0.5000
Pb 0.2500 0.2500 0.2500
Pb 0.2500 0.7500 0.7500
Pb 0.7500 0.2500 0.7500
Pb 0.7500 0.7500 0.2500